Starting from a crystal structure in the Materials Project, relaxed with GGA-PBE, the powder XRD pattern of ZrU4O10 was computed for Cu Kα X-rays.
Lines closer than 0.1° are merged.

Structure:
Cell lengths 3.8043, 3.8043, 46.3700 Å; angles 90.00, 90.00, 120.00 degrees
Space group R-3m (No. 166, hexagonal axes)
Inequivalent atoms, fractional coordinates:
Zr (0.0000, 0.0000, 0.0000) [3 per cell]
U (0.0000, 0.0000, 0.2004) [6 per cell]
U (0.0000, 0.0000, 0.3986) [6 per cell]
O (0.0000, 0.0000, 0.0479) [6 per cell]
O (0.0000, 0.0000, 0.1498) [6 per cell]
O (0.0000, 0.0000, 0.2512) [6 per cell]
O (0.0000, 0.0000, 0.3482) [6 per cell]
O (0.0000, 0.0000, 0.4493) [6 per cell]

Top 10 peaks for 10° ≤ 2θ ≤ 80°, sorted by position:
28.76 deg, rel. 100.0, hkl 0 1 5; 28.88 deg, rel. 32.8, hkl 0 0 15; 33.36 deg, rel. 47.1, hkl 1 0 10; 47.82 deg, rel. 33.5, hkl 1 1 0; 47.98 deg, rel. 32.6, hkl 0 1 20; 56.81 deg, rel. 46.2, hkl 2 0 5; 56.98 deg, rel. 14.9, hkl 1 0 25; 59.56 deg, rel. 10.2, hkl 0 2 10; 70.07 deg, rel. 10.5, hkl 2 0 20; 77.31 deg, rel. 13.2, hkl 1 2 5